# 1
Starting from a structure optimized by DFT (PBE), the XRD peak list of Fe2CoPt was simulated for Cu Kα.

Crystal structure
```
data_Fe2CoPt
_chemical_formula_sum 'Fe4 Co2 Pt2'
_cell_length_a 5.2674
_cell_length_b 7.3547
_cell_length_c 2.6468
_cell_angle_alpha 90.00
_cell_angle_beta 90.17
_cell_angle_gamma 90.00
_symmetry_space_group_name_H-M 'C 1 2/m 1'
_symmetry_Int_Tables_number 12
loop_
_symmetry_equiv_pos_as_xyz
'x,y,z'
'-x,-y,-z'
'-x,y,-z'
'x,-y,z'
'x+1/2,y+1/2,z'
'-x+1/2,-y+1/2,-z'
'-x+1/2,y+1/2,-z'
'x+1/2,-y+1/2,z'
loop_
_atom_site_label
_atom_site_fract_x
_atom_site_fract_y
_atom_site_fract_z
_atom_site_occupancy
Fe1 0.2500 0.2500 0.0000 1
Co1 0.0000 0.0000 0.5000 1
Pt1 0.0000 0.5000 0.5000 1
```

Principal peaks in the range 5 to 70 degrees two-theta, low angle first:
(1 1 0), 20.7°, d 4.282, I = 72
(0 2 0), 24.2°, d 3.677, I = 28
(1 1 1), 40.0°, d 2.251, I = 28
(0 2 1), 42.1°, d 2.148, I = 100
(2 2 0), 42.2°, d 2.141, I = 99
(2 0 -1), 48.7°, d 1.870, I = 32
(2 0 1), 48.9°, d 1.864, I = 32
(0 4 0), 49.6°, d 1.839, I = 31

***

# 2
Starting from a structure optimized by DFT (PBE), the XRD peak list of Rb3Cd3Sn2 was simulated for Cu Kα.

Crystal structure
```
data_Rb3Cd3Sn2
_chemical_formula_sum 'Rb12 Cd12 Sn8'
_cell_length_a 4.9796
_cell_length_b 13.9199
_cell_length_c 18.5573
_cell_angle_alpha 90.00
_cell_angle_beta 90.00
_cell_angle_gamma 90.00
_symmetry_space_group_name_H-M 'C m c m'
_symmetry_Int_Tables_number 63
_symmetry_space_group_name_Hall '-C 2c 2'
loop_
_atom_site_label
_atom_site_fract_x
_atom_site_fract_y
_atom_site_fract_z
_atom_site_occupancy
Rb1 0.0000 0.0614 0.1054 1
Rb2 0.0000 0.3769 0.2500 1
Cd1 0.0000 0.3122 0.0322 1
Cd2 0.0000 0.3312 0.7500 1
Sn1 0.0000 0.2147 0.6126 1
```

Principal peaks in the range 5 to 70 degrees two-theta, low angle first:
(0 2 0), 12.7°, d 6.960, I = 100
(1 3 1), 26.7°, d 3.339, I = 54
(1 1 4), 27.0°, d 3.298, I = 98
(0 4 3), 29.5°, d 3.033, I = 88
(1 3 4), 32.7°, d 2.740, I = 70
(2 0 0), 36.1°, d 2.490, I = 59
(1 3 7), 43.3°, d 2.089, I = 50
(2 4 3), 47.2°, d 1.924, I = 47

***

# 3
Starting from a structure optimized by DFT (PBE), the XRD peak list of EuAlGe2O7 was simulated for Cu Kα.

Crystal structure
```
data_EuAlGe2O7
_chemical_formula_sum 'Eu4 Al4 Ge8 O28'
_cell_length_a 7.3493
_cell_length_b 6.5841
_cell_length_c 12.8739
_cell_angle_alpha 90.00
_cell_angle_beta 117.61
_cell_angle_gamma 90.00
_symmetry_space_group_name_H-M 'P 1 21/c 1'
_symmetry_Int_Tables_number 14
loop_
_symmetry_equiv_pos_as_xyz
'x,y,z'
'-x,-y,-z'
'-x,y+1/2,-z+1/2'
'x,-y+1/2,z+1/2'
loop_
_atom_site_label
_atom_site_fract_x
_atom_site_fract_y
_atom_site_fract_z
_atom_site_occupancy
Eu1 0.2440 0.1459 0.4731 1
Al1 0.2116 0.1004 0.7288 1
Ge1 0.2082 0.6572 0.4493 1
Ge2 0.3055 0.5900 0.7196 1
O1 0.0079 0.6593 0.9136 1
O2 0.1638 0.6827 0.1902 1
O3 0.2009 0.0533 0.8638 1
O4 0.2280 0.1170 0.2773 1
O5 0.2506 0.5028 0.5733 1
O6 0.4073 0.6759 0.9751 1
O7 0.4253 0.1195 0.6963 1
```

Principal peaks in the range 5 to 70 degrees two-theta, low angle first:
(0 0 2), 15.5°, d 5.704, I = 40
(2 0 0), 27.4°, d 3.256, I = 90
(1 0 -4), 27.7°, d 3.217, I = 54
(1 2 -1), 29.8°, d 3.000, I = 100
(2 0 -4), 30.6°, d 2.918, I = 26
(0 0 4), 31.4°, d 2.852, I = 41
(1 2 1), 33.0°, d 2.712, I = 32
(3 2 -1), 47.7°, d 1.908, I = 30